Theoretical X-ray diffraction stick pattern
Compound: Mg3Al18V2
Radiation: Cu Kα, 1.54184 Å
Structure: a DFT-relaxed cell (PBE, Alexandria)

Cell and atoms:
Cell lengths 14.5893, 14.5893, 14.5893 Å; angles 90.00, 90.00, 90.00 degrees
Space group Fd-3m (No. 227, origin choice 2)
One atom of each set of equivalent atoms:
Mg (0.0000, 0.0000, 0.0000) [16 per cell]
Mg (0.1250, 0.1250, 0.1250) [8 per cell]
Al (0.0157, 0.3750, 0.8750) [48 per cell]
Al (0.0588, 0.0588, 0.3247) [96 per cell]
V (0.0000, 0.0000, 0.5000) [16 per cell]

Largest 10 diffraction maxima, sorted by position, 5 to 70 degrees two-theta:
h k l	2θ/deg	d (Å)	I_rel
1 1 1	10.50	8.423	479
4 4 0	34.79	2.579	186
5 3 1	36.43	2.466	445
6 2 0	39.05	2.307	298
5 3 3	40.55	2.225	733
6 2 2	41.04	2.199	1000
4 4 4	42.95	2.106	314
7 1 1	44.34	2.043	488
6 6 0	53.28	1.719	169
6 6 6	66.62	1.404	242